Record 1
Starting from the GGA-PBE geometry in Alexandria, the X-ray diffraction stick pattern of Sc2FeB2Ru4Rh was simulated for CuKα.
No peak broadening, texture or thermal motion is included.

Principal peaks in the range 2θ from 10° to 80°, most intense first:
2θ 42.8, 2.111 Å, rel. 100; 2θ 39.8, 2.266 Å, rel. 72; 2θ 36.7, 2.447 Å, rel. 44; 2θ 46.2, 1.966 Å, rel. 44; 2θ 29.6, 3.019 Å, rel. 43; 2θ 43.3, 2.089 Å, rel. 42; 2θ 34.6, 2.591 Å, rel. 32; 2θ 79.1, 1.210 Å, rel. 32

Structure:
a = 9.341 Å, b = 9.341 Å, c = 3.019 Å
α = 90.00°, β = 90.00°, γ = 90.00°
Fractional coordinates of all 20 atoms:
Sc1 0.176 0.324 0.000
Sc2 0.324 0.824 0.000
Sc3 0.676 0.176 0.000
Sc4 0.824 0.676 0.000
Fe1 0.000 0.000 0.000
Fe2 0.500 0.500 0.000
B1 0.127 0.627 0.000
B2 0.373 0.127 0.000
B3 0.627 0.873 0.000
B4 0.873 0.373 0.000
Ru1 0.070 0.786 0.500
Ru2 0.214 0.070 0.500
Ru3 0.286 0.570 0.500
Ru4 0.430 0.286 0.500
Ru5 0.570 0.714 0.500
Ru6 0.714 0.430 0.500
Ru7 0.786 0.930 0.500
Ru8 0.930 0.214 0.500
Rh1 0.000 0.500 0.500
Rh2 0.500 0.000 0.500

---

Record 2
Starting from the GGA-PBE geometry in Alexandria, the X-ray diffraction stick pattern of NaB2Rh2 was simulated for CuKα.
No peak broadening, texture or thermal motion is included.

Principal peaks in the range 2θ from 10° to 80°, most intense first:
2θ 19.6, 4.535 Å, rel. 100; 2θ 35.5, 2.525 Å, rel. 70; 2θ 31.5, 2.840 Å, rel. 66; 2θ 42.3, 2.137 Å, rel. 36; 2θ 50.6, 1.803 Å, rel. 36; 2θ 39.3, 2.295 Å, rel. 28; 2θ 34.8, 2.576 Å, rel. 20; 2θ 61.3, 1.512 Å, rel. 20

Structure:
a = 5.496 Å, b = 5.496 Å, c = 5.972 Å
α = 106.15°, β = 106.15°, γ = 113.23°
Fractional coordinates of all 10 atoms:
Na1 0.125 0.875 0.750
Na2 0.875 0.125 0.250
B1 0.199 0.801 0.250
B2 0.447 0.553 0.750
B3 0.553 0.447 0.250
B4 0.801 0.199 0.750
Rh1 0.242 0.491 0.984
Rh2 0.491 0.242 0.484
Rh3 0.509 0.758 0.516
Rh4 0.758 0.509 0.016

---

Record 3
Starting from the GGA-PBE geometry in Alexandria, the X-ray diffraction stick pattern of Sm3Ho3Sc2 was simulated for CuKα.
No peak broadening, texture or thermal motion is included.

Principal peaks in the range 2θ from 10° to 80°, most intense first:
2θ 31.8, 2.811 Å, rel. 100; 2θ 32.3, 2.772 Å, rel. 99; 2θ 32.8, 2.729 Å, rel. 54; 2θ 31.6, 2.828 Å, rel. 46; 2θ 46.2, 1.964 Å, rel. 32; 2θ 25.2, 3.540 Å, rel. 24; 2θ 25.4, 3.501 Å, rel. 21; 2θ 58.3, 1.584 Å, rel. 18

Structure:
a = 8.806 Å, b = 8.806 Å, c = 5.657 Å
α = 107.65°, β = 107.65°, γ = 36.11°
Fractional coordinates of all 8 atoms:
Sm1 0.000 0.000 0.000
Sm2 0.140 0.140 0.689
Sm3 0.860 0.860 0.311
Ho1 0.361 0.361 0.901
Ho2 0.500 0.500 0.500
Ho3 0.639 0.639 0.099
Sc1 0.250 0.250 0.310
Sc2 0.750 0.750 0.690

---

Record 4
Starting from the GGA-PBE geometry in Alexandria, the X-ray diffraction stick pattern of Dy2MgSc7 was simulated for CuKα.
No peak broadening, texture or thermal motion is included.

Principal peaks in the range 2θ from 10° to 80°, most intense first:
2θ 35.7, 2.514 Å, rel. 100; 2θ 27.6, 3.232 Å, rel. 82; 2θ 22.2, 4.009 Å, rel. 52; 2θ 33.3, 2.688 Å, rel. 43; 2θ 30.5, 2.936 Å, rel. 41; 2θ 32.6, 2.746 Å, rel. 40; 2θ 33.0, 2.711 Å, rel. 33; 2θ 43.3, 2.091 Å, rel. 31

Structure:
a = 13.775 Å, b = 13.775 Å, c = 3.228 Å
α = 90.00°, β = 90.00°, γ = 154.77°
Fractional coordinates of all 10 atoms:
Dy1 0.210 0.790 0.000
Dy2 0.790 0.210 0.000
Mg1 0.500 0.500 0.500
Sc1 0.000 0.000 0.000
Sc2 0.157 0.349 0.000
Sc3 0.319 0.681 0.500
Sc4 0.349 0.157 0.000
Sc5 0.651 0.843 0.000
Sc6 0.681 0.319 0.500
Sc7 0.843 0.651 0.000

---

Record 5
Starting from the GGA-PBE geometry in Alexandria, the X-ray diffraction stick pattern of Ge2Rh2Se was simulated for CuKα.
No peak broadening, texture or thermal motion is included.

Principal peaks in the range 2θ from 10° to 80°, most intense first:
2θ 32.4, 2.766 Å, rel. 100; 2θ 36.6, 2.454 Å, rel. 84; 2θ 47.9, 1.898 Å, rel. 66; 2θ 45.1, 2.009 Å, rel. 64; 2θ 44.3, 2.043 Å, rel. 50; 2θ 59.0, 1.565 Å, rel. 35; 2θ 67.3, 1.390 Å, rel. 28; 2θ 24.6, 3.622 Å, rel. 23

Structure:
a = 6.629 Å, b = 6.629 Å, c = 6.629 Å
α = 146.73°, β = 146.73°, γ = 47.76°
Fractional coordinates of all 5 atoms:
Ge1 0.250 0.750 0.500
Ge2 0.750 0.250 0.500
Rh1 0.122 0.122 0.000
Rh2 0.878 0.878 0.000
Se1 0.500 0.500 0.000

---

Record 6
Starting from the GGA-PBE geometry in Alexandria, the X-ray diffraction stick pattern of CaDyGa2Au2 was simulated for CuKα.
No peak broadening, texture or thermal motion is included.

Principal peaks in the range 2θ from 10° to 80°, most intense first:
2θ 33.7, 2.657 Å, rel. 100; 2θ 39.3, 2.291 Å, rel. 84; 2θ 25.7, 3.470 Å, rel. 46; 2θ 12.4, 7.156 Å, rel. 31; 2θ 52.8, 1.735 Å, rel. 28; 2θ 66.3, 1.410 Å, rel. 27; 2θ 67.7, 1.383 Å, rel. 26; 2θ 44.3, 2.044 Å, rel. 20

Structure:
a = 4.582 Å, b = 4.582 Å, c = 7.156 Å
α = 90.00°, β = 90.00°, γ = 120.00°
Fractional coordinates of all 6 atoms:
Ca1 0.000 0.000 0.000
Dy1 0.000 0.000 0.500
Ga1 0.333 0.667 0.729
Ga2 0.667 0.333 0.271
Au1 0.333 0.667 0.275
Au2 0.667 0.333 0.725

---

Record 7
Starting from the GGA-PBE geometry in Alexandria, the X-ray diffraction stick pattern of Nb4FeIr was simulated for CuKα.
No peak broadening, texture or thermal motion is included.

Principal peaks in the range 2θ from 10° to 80°, most intense first:
2θ 39.6, 2.278 Å, rel. 100; 2θ 45.1, 2.011 Å, rel. 64; 2θ 39.7, 2.270 Å, rel. 52; 2θ 26.7, 3.334 Å, rel. 50; 2θ 45.5, 1.995 Å, rel. 43; 2θ 61.9, 1.499 Å, rel. 28; 2θ 26.6, 3.347 Å, rel. 25; 2θ 22.1, 4.014 Å, rel. 24

Structure:
a = 4.622 Å, b = 3.991 Å, c = 6.177 Å
α = 90.00°, β = 100.80°, γ = 90.00°
Fractional coordinates of all 6 atoms:
Nb1 0.014 0.000 0.274
Nb2 0.462 0.500 0.738
Nb3 0.538 0.500 0.262
Nb4 0.986 0.000 0.726
Fe1 0.500 0.000 0.500
Ir1 0.000 0.500 0.000

---

Record 8
Starting from the GGA-PBE geometry in Alexandria, the X-ray diffraction stick pattern of Na4Cd2In2Sn was simulated for CuKα.
No peak broadening, texture or thermal motion is included.

Principal peaks in the range 2θ from 10° to 80°, most intense first:
2θ 37.3, 2.412 Å, rel. 100; 2θ 32.7, 2.735 Å, rel. 72; 2θ 15.8, 5.608 Å, rel. 72; 2θ 32.6, 2.747 Å, rel. 71; 2θ 33.1, 2.708 Å, rel. 69; 2θ 33.6, 2.669 Å, rel. 66; 2θ 40.3, 2.240 Å, rel. 40; 2θ 21.7, 4.100 Å, rel. 36

Structure:
a = 5.549 Å, b = 5.862 Å, c = 7.633 Å
α = 73.71°, β = 81.30°, γ = 83.05°
Fractional coordinates of all 9 atoms:
Na1 0.102 0.061 0.284
Na2 0.325 0.176 0.823
Na3 0.675 0.824 0.177
Na4 0.898 0.939 0.716
Cd1 0.460 0.719 0.607
Cd2 0.540 0.281 0.393
In1 0.232 0.602 0.051
In2 0.768 0.398 0.949
Sn1 0.000 0.500 0.500

---

Copy entry 4 word for word.
Starting from the GGA-PBE geometry in Alexandria, the X-ray diffraction stick pattern of Dy2MgSc7 was simulated for CuKα.
No peak broadening, texture or thermal motion is included.

Principal peaks in the range 2θ from 10° to 80°, most intense first:
2θ 35.7, 2.514 Å, rel. 100; 2θ 27.6, 3.232 Å, rel. 82; 2θ 22.2, 4.009 Å, rel. 52; 2θ 33.3, 2.688 Å, rel. 43; 2θ 30.5, 2.936 Å, rel. 41; 2θ 32.6, 2.746 Å, rel. 40; 2θ 33.0, 2.711 Å, rel. 33; 2θ 43.3, 2.091 Å, rel. 31

Structure:
a = 13.775 Å, b = 13.775 Å, c = 3.228 Å
α = 90.00°, β = 90.00°, γ = 154.77°
Fractional coordinates of all 10 atoms:
Dy1 0.210 0.790 0.000
Dy2 0.790 0.210 0.000
Mg1 0.500 0.500 0.500
Sc1 0.000 0.000 0.000
Sc2 0.157 0.349 0.000
Sc3 0.319 0.681 0.500
Sc4 0.349 0.157 0.000
Sc5 0.651 0.843 0.000
Sc6 0.681 0.319 0.500
Sc7 0.843 0.651 0.000

---

- Which formula does entry 8 have?
  Na4Cd2In2Sn